This entry pairs a crystal structure of La6TbAl with its simulated PXRD pattern. Radiation: Cu Kα X-rays. Structure: a GGA-PBE-relaxed structure.
Kinematic intensities with the Lorentz-polarization factor, no thermal factor.

Crystal structure
```
La6TbAl
1.0
5.0709 0.0000 0.0000
0.0000 5.0709 0.0000
0.0000 0.0000 10.3255
La Tb Al
6 1 1
direct
0.0000 0.0000 0.0000
0.0000 0.0000 0.5000
0.0000 0.5000 0.2391
0.0000 0.5000 0.7609
0.5000 0.0000 0.2391
0.5000 0.0000 0.7609
0.5000 0.5000 0.5000
0.5000 0.5000 0.0000
```

Top 12 peaks for 2θ from 5° to 70°, low angle first:
- hkl 0 0 1, 8.56 deg, d = 10.326 Å, intensity 4
- hkl 1 0 1, 19.50 deg, d = 4.552 Å, intensity 5
- hkl 1 1 1, 26.31 deg, d = 3.387 Å, intensity 4
- hkl 1 1 2, 30.35 deg, d = 2.945 Å, intensity 100
- hkl 0 0 4, 34.75 deg, d = 2.581 Å, intensity 17
- hkl 2 0 0, 35.40 deg, d = 2.535 Å, intensity 33
- hkl 2 0 4, 50.45 deg, d = 1.809 Å, intensity 23
- hkl 2 2 0, 50.94 deg, d = 1.793 Å, intensity 12
- hkl 1 1 5, 51.04 deg, d = 1.790 Å, intensity 2
- hkl 1 1 6, 59.59 deg, d = 1.551 Å, intensity 13
- hkl 3 1 2, 60.45 deg, d = 1.531 Å, intensity 28
- hkl 2 2 4, 63.14 deg, d = 1.473 Å, intensity 12